(1)
Calculated PXRD pattern of AcTb2NdDy4 for Cu Ka, from a PBE-relaxed structure.
Neutral-atom scattering factors, no anomalous dispersion.

Most intense lines, 2θ = 15–90°, sorted by position:
2theta  I/Imax
26.50  669
29.81  1000
29.94  497
40.31  880
40.40  439
53.08  201
60.28  270
63.44  335

Structural model:
Cell lengths 9.6374, 9.6374, 6.9310 Å; angles 111.06, 111.06, 88.54 degrees
Element x y z (fractional)
Ac: 0.0000 0.5000 0.0000
Ac: 0.5000 0.0000 0.5000
Tb: 0.0000 0.0000 0.0000
Tb: 0.0000 0.0000 0.5000
Tb: 0.0000 0.5000 0.5000
Tb: 0.5000 0.0000 0.0000
Nd: 0.5000 0.5000 0.0000
Nd: 0.5000 0.5000 0.5000
Dy: 0.2373 0.2553 0.4953
Dy: 0.2464 0.7536 0.5130
Dy: 0.2464 0.7536 0.9870
Dy: 0.2553 0.2373 0.9953
Dy: 0.7447 0.7627 0.0047
Dy: 0.7536 0.2464 0.0130
Dy: 0.7536 0.2464 0.4870
Dy: 0.7627 0.7447 0.5047


(2)
Calculated PXRD pattern of AcNd2DyTm4 for Cu Ka, from a PBE-relaxed structure.
Neutral-atom scattering factors, no anomalous dispersion.

Most intense lines, 2θ = 15–90°, sorted by position:
2theta  I/Imax
26.56  450
30.00  1000
40.49  882
53.27  201
60.49  270
62.35  125
63.65  225
68.99  182

Structural model:
Cell lengths 9.6105, 9.6105, 9.6105 Å; angles 138.05, 103.40, 91.41 degrees
Element x y z (fractional)
Ac: 0.0000 0.0000 0.0000
Ac: 0.5000 0.0000 0.5000
Nd: 0.0000 0.5000 0.5000
Nd: 0.5000 0.0000 0.0000
Nd: 0.5000 0.5000 0.0000
Nd: 0.5000 0.5000 0.5000
Dy: 0.0000 0.0000 0.5000
Dy: 0.0000 0.5000 0.0000
Tm: 0.2369 0.7418 0.4952
Tm: 0.2455 0.2582 0.5126
Tm: 0.2455 0.7329 0.9874
Tm: 0.2534 0.2582 0.9952
Tm: 0.7466 0.7418 0.0048
Tm: 0.7545 0.2671 0.0126
Tm: 0.7545 0.7418 0.4874
Tm: 0.7631 0.2582 0.5048


(3)
Calculated PXRD pattern of AcNd6DyY2 for Cu Ka, from a PBE-relaxed structure.
Neutral-atom scattering factors, no anomalous dispersion.

Most intense lines, 2θ = 15–90°, sorted by position:
2theta  I/Imax
27.58  976
29.37  683
29.83  1000
29.99  694
30.53  600
30.76  598
33.39  417
34.13  314

Structural model:
Cell lengths 9.0578, 9.0578, 9.7370 Å; angles 92.76, 92.76, 116.27 degrees
Element x y z (fractional)
Ac: 0.0346 0.9654 0.7500
Ac: 0.9654 0.0346 0.2500
Nd: 0.0035 0.5497 0.6819
Nd: 0.1162 0.7565 0.0566
Nd: 0.2435 0.8838 0.4434
Nd: 0.2925 0.5199 0.8830
Nd: 0.4503 0.9965 0.8181
Nd: 0.4801 0.7075 0.6170
Nd: 0.5199 0.2925 0.3830
Nd: 0.5497 0.0035 0.1819
Nd: 0.7075 0.4801 0.1170
Nd: 0.7565 0.1162 0.5566
Nd: 0.8838 0.2435 0.9434
Nd: 0.9965 0.4503 0.3181
Dy: 0.4116 0.5884 0.2500
Dy: 0.5884 0.4116 0.7500
Y: 0.2078 0.3084 0.5507
Y: 0.3084 0.2078 0.0507
Y: 0.6916 0.7922 0.9493
Y: 0.7922 0.6916 0.4493


(4)
Calculated PXRD pattern of AcNdDy2Y6 for Cu Ka, from a PBE-relaxed structure.
Neutral-atom scattering factors, no anomalous dispersion.

Most intense lines, 2θ = 15–90°, sorted by position:
2theta  I/Imax
27.91  610
28.02  674
30.09  577
30.32  813
30.41  1000
30.72  533
31.14  590
31.86  563

Structural model:
Cell lengths 8.9682, 8.9682, 9.6233 Å; angles 92.84, 92.84, 117.42 degrees
Element x y z (fractional)
Ac: 0.0319 0.9681 0.7500
Ac: 0.9681 0.0319 0.2500
Nd: 0.4115 0.5885 0.2500
Nd: 0.5885 0.4115 0.7500
Dy: 0.1977 0.3089 0.5509
Dy: 0.3089 0.1977 0.0509
Dy: 0.6911 0.8023 0.9491
Dy: 0.8023 0.6911 0.4491
Y: 0.0165 0.5567 0.6791
Y: 0.1230 0.7524 0.0579
Y: 0.2476 0.8770 0.4421
Y: 0.2904 0.5126 0.8864
Y: 0.4433 0.9835 0.8209
Y: 0.4874 0.7096 0.6136
Y: 0.5126 0.2904 0.3864
Y: 0.5567 0.0165 0.1791
Y: 0.7096 0.4874 0.1136
Y: 0.7524 0.1230 0.5579
Y: 0.8770 0.2476 0.9421
Y: 0.9835 0.4433 0.3209


(5)
Calculated PXRD pattern of Ac2NdDyY for Cu Ka, from a PBE-relaxed structure.
Neutral-atom scattering factors, no anomalous dispersion.

Most intense lines, 2θ = 15–90°, sorted by position:
2theta  I/Imax
18.99  266
27.60  1000
28.22  235
29.97  189
32.27  175
33.22  233
35.72  179
38.52  179

Structural model:
Cell lengths 6.4690, 8.9453, 6.7607 Å; angles 90.00, 90.00, 90.00 degrees
Element x y z (fractional)
Ac: 0.2500 0.2034 0.2093
Ac: 0.2500 0.7966 0.2093
Ac: 0.7500 0.2034 0.7907
Ac: 0.7500 0.7966 0.7907
Nd: 0.2500 0.5000 0.9171
Nd: 0.7500 0.5000 0.0829
Dy: 0.0000 0.5000 0.5000
Dy: 0.5000 0.5000 0.5000
Y: 0.2500 0.0000 0.6806
Y: 0.7500 0.0000 0.3194


(6)
Calculated PXRD pattern of AcNd5Dy2Y for Cu Ka, from a PBE-relaxed structure.
Neutral-atom scattering factors, no anomalous dispersion.

Most intense lines, 2θ = 15–90°, sorted by position:
2theta  I/Imax
26.86  320
28.82  276
28.95  273
30.66  897
31.66  1000
31.97  667
32.53  565
43.62  362

Structural model:
Cell lengths 12.5147, 12.5147, 9.5644 Å; angles 90.00, 90.00, 154.15 degrees
Element x y z (fractional)
Ac: 0.1024 0.8976 0.5000
Ac: 0.8976 0.1024 0.0000
Nd: 0.0246 0.9754 0.8281
Nd: 0.1060 0.8940 0.1063
Nd: 0.1893 0.8107 0.7972
Nd: 0.2413 0.7587 0.4321
Nd: 0.4910 0.5090 0.6099
Nd: 0.5090 0.4910 0.1099
Nd: 0.7587 0.2413 0.9321
Nd: 0.8107 0.1893 0.2972
Nd: 0.8940 0.1060 0.6063
Nd: 0.9754 0.0246 0.3281
Dy: 0.3265 0.6735 0.7477
Dy: 0.3879 0.6121 0.3613
Dy: 0.6121 0.3879 0.8613
Dy: 0.6735 0.3265 0.2477
Y: 0.2649 0.7351 0.1069
Y: 0.7351 0.2649 0.6069